Record 1
Theoretical powder diffractogram of Cs2Br7O for Cu Ka, from a crystal structure in Alexandria, relaxed with GGA-PBE.
Peak positions follow from Bragg's law for the DFT cell and can differ from measured ones.

Main lines, low angle first (15 to 90 degrees two-theta):
index, 2θ (°), d_spacing, I_rel
1 1 2, 22.43, 3.964, 24
2 1 1, 27.26, 3.271, 16
2 0 2, 27.94, 3.193, 100
0 0 4, 30.54, 2.927, 35
2 2 0, 33.26, 2.693, 53
3 0 1, 36.19, 2.482, 13
2 2 4, 45.78, 1.982, 37
4 0 0, 47.75, 1.905, 15
4 2 2, 56.24, 1.636, 19
4 0 4, 57.75, 1.596, 15

Structural model:
```
data_Cs2Br7O
_symmetry_space_group_name_H-M 'I 4/m m m'
_symmetry_Int_Tables_number 139
_symmetry_space_group_name_Hall '-I 4 2'
_cell_length_a 7.6183
_cell_length_b 7.6183
_cell_length_c 11.7096
_cell_angle_alpha 90.00
_cell_angle_beta 90.00
_cell_angle_gamma 90.00
loop_
_atom_site_label
_atom_site_type_symbol
_atom_site_fract_x
_atom_site_fract_y
_atom_site_fract_z
Cs1 Cs 0.0000 0.5000 0.2500
Br1 Br 0.0000 0.0000 0.0000
Br2 Br 0.0000 0.0000 0.2198
Br3 Br 0.2127 0.2127 0.5000
O1 O 0.0000 0.0000 0.5000
```

***

Record 2
Theoretical powder diffractogram of Cs2BrO5 for Cu Ka, from a crystal structure in Alexandria, relaxed with GGA-PBE.
Peak positions follow from Bragg's law for the DFT cell and can differ from measured ones.

Main lines, low angle first (15 to 90 degrees two-theta):
index, 2θ (°), d_spacing, I_rel
1 0 1, 16.57, 5.350, 44
1 1 0, 18.77, 4.727, 24
2 0 0, 26.67, 3.342, 48
1 1 2, 27.49, 3.245, 100
2 0 2, 33.50, 2.675, 32
2 2 0, 38.07, 2.363, 27
3 1 2, 47.60, 1.910, 35
2 0 4, 49.09, 1.856, 16
2 2 4, 56.74, 1.622, 14
5 1 2, 75.58, 1.258, 14

Structural model:
```
data_Cs2BrO5
_symmetry_space_group_name_H-M 'I 4 m m'
_symmetry_Int_Tables_number 107
_symmetry_space_group_name_Hall 'I 4 -2'
_cell_length_a 6.6848
_cell_length_b 6.6848
_cell_length_c 8.9247
_cell_angle_alpha 90.00
_cell_angle_beta 90.00
_cell_angle_gamma 90.00
loop_
_atom_site_label
_atom_site_type_symbol
_atom_site_fract_x
_atom_site_fract_y
_atom_site_fract_z
Cs1 Cs 0.0000 0.5000 0.0000
Br1 Br 0.0000 0.0000 0.2798
O1 O 0.0000 0.0000 0.4675
O2 O 0.1797 0.1797 0.2322
```

***

Record 3
Theoretical powder diffractogram of Cs3BrO for Cu Ka, from a crystal structure in Alexandria, relaxed with GGA-PBE.
Peak positions follow from Bragg's law for the DFT cell and can differ from measured ones.

Main lines, low angle first (15 to 90 degrees two-theta):
index, 2θ (°), d_spacing, I_rel
3 1 -1, 24.01, 3.706, 29
4 0 -1, 24.72, 3.602, 22
4 0 0, 24.87, 3.580, 36
1 1 2, 25.53, 3.490, 100
3 1 -2, 27.80, 3.209, 60
2 0 -3, 28.41, 3.142, 25
0 2 0, 29.25, 3.053, 59
5 1 1, 37.61, 2.391, 27
4 2 0, 38.76, 2.323, 22
2 2 -3, 41.23, 2.189, 18

Structural model:
```
data_Cs3BrO
_symmetry_space_group_name_H-M 'C 1 2/m 1'
_symmetry_Int_Tables_number 12
_symmetry_space_group_name_Hall '-C 2y'
_cell_length_a 14.6297
_cell_length_b 6.1058
_cell_length_c 9.6949
_cell_angle_alpha 90.00
_cell_angle_beta 101.79
_cell_angle_gamma 90.00
loop_
_atom_site_label
_atom_site_type_symbol
_atom_site_fract_x
_atom_site_fract_y
_atom_site_fract_z
Cs1 Cs 0.0707 0.0000 0.1784
Cs2 Cs 0.1420 0.0000 0.6358
Cs3 Cs 0.1659 0.5000 0.9626
Br1 Br 0.1144 0.5000 0.3786
O1 O 0.1346 0.0000 0.9166
```

***

Record 4
Theoretical powder diffractogram of Cs7Br3O2 for Cu Ka, from a crystal structure in Alexandria, relaxed with GGA-PBE.
Peak positions follow from Bragg's law for the DFT cell and can differ from measured ones.

Main lines, low angle first (15 to 90 degrees two-theta):
index, 2θ (°), d_spacing, I_rel
1 5 1, 26.28, 3.392, 100
2 0 0, 29.95, 2.983, 21
0 10 0, 30.61, 2.920, 16
0 0 2, 30.72, 2.910, 20
2 0 2, 43.41, 2.085, 28
0 10 2, 43.92, 2.061, 12
3 5 1, 50.98, 1.791, 16
1 15 1, 51.83, 1.764, 10
1 5 3, 51.98, 1.759, 15
2 10 2, 54.08, 1.696, 13

Structural model:
```
data_Cs7Br3O2
_symmetry_space_group_name_H-M 'C m m m'
_symmetry_Int_Tables_number 65
_symmetry_space_group_name_Hall '-C 2 2'
_cell_length_a 5.9662
_cell_length_b 29.2044
_cell_length_c 5.8200
_cell_angle_alpha 90.00
_cell_angle_beta 90.00
_cell_angle_gamma 90.00
loop_
_atom_site_label
_atom_site_type_symbol
_atom_site_fract_x
_atom_site_fract_y
_atom_site_fract_z
Cs1 Cs 0.0000 0.0000 0.0000
Cs2 Cs 0.0000 0.0981 0.5000
Cs3 Cs 0.0000 0.1950 0.0000
Cs4 Cs 0.0000 0.4026 0.0000
Br1 Br 0.0000 0.3199 0.5000
Br2 Br 0.0000 0.5000 0.5000
O1 O 0.0000 0.1033 0.0000
```

***

Record 5
Theoretical powder diffractogram of Cs3RbBr2O for Cu Ka, from a crystal structure in Alexandria, relaxed with GGA-PBE.
Peak positions follow from Bragg's law for the DFT cell and can differ from measured ones.

Main lines, low angle first (15 to 90 degrees two-theta):
index, 2θ (°), d_spacing, I_rel
1 1 0, 21.93, 4.053, 18
1 1 2, 24.00, 3.708, 55
0 0 6, 29.17, 3.061, 24
1 1 4, 29.39, 3.039, 100
0 2 0, 30.60, 2.921, 32
2 0 0, 31.80, 2.814, 29
2 2 0, 44.71, 2.027, 22
1 3 4, 53.65, 1.708, 18
1 1 10, 54.88, 1.673, 19
3 1 4, 55.18, 1.665, 17

Structural model:
```
data_Cs3RbBr2O
_symmetry_space_group_name_H-M 'I m m m'
_symmetry_Int_Tables_number 71
_symmetry_space_group_name_Hall '-I 2 2'
_cell_length_a 5.6278
_cell_length_b 5.8430
_cell_length_c 18.3678
_cell_angle_alpha 90.00
_cell_angle_beta 90.00
_cell_angle_gamma 90.00
loop_
_atom_site_label
_atom_site_type_symbol
_atom_site_fract_x
_atom_site_fract_y
_atom_site_fract_z
Cs1 Cs 0.0000 0.0000 0.0000
Cs2 Cs 0.0000 0.5000 0.1534
Rb1 Rb 0.0000 0.0000 0.5000
Br1 Br 0.0000 0.5000 0.3622
O1 O 0.0000 0.5000 0.0000
```

***

Record 6
Theoretical powder diffractogram of Cs2ZrBr6O for Cu Ka, from a crystal structure in Alexandria, relaxed with GGA-PBE.
Peak positions follow from Bragg's law for the DFT cell and can differ from measured ones.

Main lines, low angle first (15 to 90 degrees two-theta):
index, 2θ (°), d_spacing, I_rel
1 1 2, 21.84, 4.069, 21
2 0 2, 27.24, 3.273, 100
0 0 4, 29.62, 3.016, 34
2 2 0, 32.49, 2.756, 59
2 2 4, 44.54, 2.034, 43
4 0 0, 46.61, 1.948, 21
2 0 6, 51.12, 1.787, 13
4 2 2, 54.83, 1.674, 27
4 0 4, 56.20, 1.637, 21
6 2 4, 85.03, 1.141, 13

Structural model:
```
data_Cs2ZrBr6O
_symmetry_space_group_name_H-M 'I 4/m m m'
_symmetry_Int_Tables_number 139
_symmetry_space_group_name_Hall '-I 4 2'
_cell_length_a 7.7938
_cell_length_b 7.7938
_cell_length_c 12.0639
_cell_angle_alpha 90.00
_cell_angle_beta 90.00
_cell_angle_gamma 90.00
loop_
_atom_site_label
_atom_site_type_symbol
_atom_site_fract_x
_atom_site_fract_y
_atom_site_fract_z
Cs1 Cs 0.0000 0.5000 0.2500
Zr1 Zr 0.0000 0.0000 0.0000
Br1 Br 0.0000 0.0000 0.2202
Br2 Br 0.2409 0.2409 0.0000
O1 O 0.0000 0.0000 0.5000
```

***

Record 7
Theoretical powder diffractogram of Cs2OsBr7 for Cu Ka, from a crystal structure in Alexandria, relaxed with GGA-PBE.
Peak positions follow from Bragg's law for the DFT cell and can differ from measured ones.

Main lines, low angle first (15 to 90 degrees two-theta):
index, 2θ (°), d_spacing, I_rel
1 1 -2, 17.57, 5.046, 78
4 0 -2, 19.61, 4.528, 38
0 2 0, 23.07, 3.855, 40
2 0 2, 26.44, 3.371, 100
0 2 2, 28.42, 3.141, 26
5 1 -4, 30.08, 2.971, 47
4 2 -2, 30.45, 2.935, 51
1 3 -2, 37.48, 2.400, 45
6 2 -4, 38.90, 2.315, 38
6 2 0, 45.43, 1.996, 31

Structural model:
```
data_Cs2OsBr7
_symmetry_space_group_name_H-M 'C 1 2/c 1'
_symmetry_Int_Tables_number 15
_symmetry_space_group_name_Hall '-C 2yc'
_cell_length_a 18.1124
_cell_length_b 7.7102
_cell_length_c 14.0189
_cell_angle_alpha 90.00
_cell_angle_beta 129.41
_cell_angle_gamma 90.00
loop_
_atom_site_label
_atom_site_type_symbol
_atom_site_fract_x
_atom_site_fract_y
_atom_site_fract_z
Cs1 Cs 0.1655 0.0277 0.0543
Os1 Os 0.0000 0.4951 0.7500
Br1 Br 0.0000 0.1709 0.2500
Br2 Br 0.0750 0.2221 0.7292
Br3 Br 0.0898 0.3996 0.1733
Br4 Br 0.1499 0.4987 0.4750
```

***

Record 8
Theoretical powder diffractogram of CsPBr6 for Cu Ka, from a crystal structure in Alexandria, relaxed with GGA-PBE.
Peak positions follow from Bragg's law for the DFT cell and can differ from measured ones.

Main lines, low angle first (15 to 90 degrees two-theta):
index, 2θ (°), d_spacing, I_rel
1 -1 1, 24.77, 3.595, 30
0 1 2, 25.40, 3.507, 100
1 1 -1, 27.34, 3.262, 96
1 2 1, 29.18, 3.061, 87
2 0 1, 30.33, 2.947, 27
1 -1 2, 31.61, 2.830, 31
2 1 2, 32.39, 2.764, 26
1 0 3, 34.50, 2.600, 26
1 -2 0, 35.11, 2.556, 35
-2 1 1, 41.57, 2.172, 26

Structural model:
```
data_CsPBr6
_symmetry_space_group_name_H-M 'P -1'
_symmetry_Int_Tables_number 2
_symmetry_space_group_name_Hall '-P 1'
_cell_length_a 6.0427
_cell_length_b 6.4399
_cell_length_c 8.1438
_cell_angle_alpha 74.71
_cell_angle_beta 68.42
_cell_angle_gamma 77.58
loop_
_atom_site_label
_atom_site_type_symbol
_atom_site_fract_x
_atom_site_fract_y
_atom_site_fract_z
Cs1 Cs 0.0000 0.0000 0.0000
P1 P 0.5000 0.5000 0.5000
Br1 Br 0.0614 0.6249 0.6690
Br2 Br 0.3391 0.1471 0.4556
Br3 Br 0.4706 0.7036 0.1977
```

***

Record 9
Theoretical powder diffractogram of CsPBr6 for Cu Ka, from a crystal structure in Alexandria, relaxed with GGA-PBE.
Peak positions follow from Bragg's law for the DFT cell and can differ from measured ones.

Main lines, low angle first (15 to 90 degrees two-theta):
index, 2θ (°), d_spacing, I_rel
0 1 2, 16.62, 5.335, 34
1 0 4, 23.21, 3.832, 34
0 1 5, 27.17, 3.282, 30
0 2 1, 28.12, 3.174, 100
2 0 2, 29.29, 3.049, 39
2 0 5, 36.53, 2.460, 25
1 1 6, 37.22, 2.416, 31
2 1 4, 41.68, 2.167, 32
2 2 0, 49.04, 1.858, 28
0 2 10, 56.04, 1.641, 19

Structural model:
```
data_CsPBr6
_symmetry_space_group_name_H-M 'R -3 m'
_symmetry_Int_Tables_number 166
_symmetry_space_group_name_Hall '-R 3 2"'
_cell_length_a 7.4310
_cell_length_b 7.4310
_cell_length_c 19.0759
_cell_angle_alpha 90.00
_cell_angle_beta 90.00
_cell_angle_gamma 120.00
loop_
_atom_site_label
_atom_site_type_symbol
_atom_site_fract_x
_atom_site_fract_y
_atom_site_fract_z
Cs1 Cs 0.0000 0.0000 0.0000
P1 P 0.0000 0.0000 0.5000
Br1 Br 0.0314 0.5157 0.0944
```

***

Record 10
Theoretical powder diffractogram of Cs2PPtBr6 for Cu Ka, from a crystal structure in Alexandria, relaxed with GGA-PBE.
Peak positions follow from Bragg's law for the DFT cell and can differ from measured ones.

Main lines, low angle first (15 to 90 degrees two-theta):
index, 2θ (°), d_spacing, I_rel
2 0 0, 23.52, 3.783, 78
2 0 2, 28.91, 3.089, 88
2 2 0, 33.43, 2.680, 100
0 0 4, 33.64, 2.664, 49
3 1 2, 41.30, 2.186, 24
4 0 0, 48.01, 1.895, 36
2 2 4, 48.16, 1.890, 70
4 2 2, 57.01, 1.615, 24
4 0 4, 59.89, 1.544, 36
6 2 4, 89.70, 1.093, 25

Structural model:
```
data_Cs2PPtBr6
_symmetry_space_group_name_H-M 'I 4/m m m'
_symmetry_Int_Tables_number 139
_symmetry_space_group_name_Hall '-I 4 2'
_cell_length_a 7.5804
_cell_length_b 7.5804
_cell_length_c 10.6577
_cell_angle_alpha 90.00
_cell_angle_beta 90.00
_cell_angle_gamma 90.00
loop_
_atom_site_label
_atom_site_type_symbol
_atom_site_fract_x
_atom_site_fract_y
_atom_site_fract_z
Cs1 Cs 0.0000 0.5000 0.2500
P1 P 0.0000 0.0000 0.0000
Pt1 Pt 0.0000 0.0000 0.5000
Br1 Br 0.0000 0.0000 0.2507
Br2 Br 0.2493 0.2493 0.5000
```

***

Record 11
Theoretical powder diffractogram of CsPS3Br for Cu Ka, from a crystal structure in Alexandria, relaxed with GGA-PBE.
Peak positions follow from Bragg's law for the DFT cell and can differ from measured ones.

Main lines, low angle first (15 to 90 degrees two-theta):
index, 2θ (°), d_spacing, I_rel
2 0 0, 21.66, 4.103, 100
1 3 -1, 25.36, 3.512, 55
1 3 1, 26.24, 3.397, 24
0 0 2, 27.94, 3.193, 51
0 4 1, 28.74, 3.106, 70
1 1 -2, 29.94, 2.984, 22
2 0 -2, 34.30, 2.615, 22
2 0 2, 36.92, 2.435, 70
2 6 -1, 45.99, 1.974, 22
2 8 0, 56.42, 1.631, 25

Structural model:
```
data_CsPS3Br
_symmetry_space_group_name_H-M 'C 1 2/c 1'
_symmetry_Int_Tables_number 15
_symmetry_space_group_name_Hall '-C 2yc'
_cell_length_a 8.2282
_cell_length_b 14.2216
_cell_length_c 6.4033
_cell_angle_alpha 90.00
_cell_angle_beta 94.21
_cell_angle_gamma 90.00
loop_
_atom_site_label
_atom_site_type_symbol
_atom_site_fract_x
_atom_site_fract_y
_atom_site_fract_z
Cs1 Cs 0.0000 0.1979 0.2500
P1 P 0.0000 0.4549 0.7500
S1 S 0.0000 0.3148 0.7500
S2 S 0.1673 0.4688 0.0899
Br1 Br 0.0000 0.0662 0.7500
```

***

Record 12
Theoretical powder diffractogram of Cs2TiPBr6 for Cu Ka, from a crystal structure in Alexandria, relaxed with GGA-PBE.
Peak positions follow from Bragg's law for the DFT cell and can differ from measured ones.

Main lines, low angle first (15 to 90 degrees two-theta):
index, 2θ (°), d_spacing, I_rel
1 1 2, 21.97, 4.046, 18
2 0 2, 27.81, 3.208, 100
0 0 4, 28.21, 3.163, 31
2 2 0, 34.06, 2.632, 48
2 2 4, 44.80, 2.023, 34
4 0 0, 48.94, 1.861, 17
2 0 6, 49.69, 1.835, 11
4 2 2, 57.23, 1.610, 26
4 0 4, 57.45, 1.604, 16
6 2 4, 88.67, 1.103, 10

Structural model:
```
data_Cs2TiPBr6
_symmetry_space_group_name_H-M 'I 4/m m m'
_symmetry_Int_Tables_number 139
_symmetry_space_group_name_Hall '-I 4 2'
_cell_length_a 7.4443
_cell_length_b 7.4443
_cell_length_c 12.6532
_cell_angle_alpha 90.00
_cell_angle_beta 90.00
_cell_angle_gamma 90.00
loop_
_atom_site_label
_atom_site_type_symbol
_atom_site_fract_x
_atom_site_fract_y
_atom_site_fract_z
Cs1 Cs 0.0000 0.5000 0.2500
Ti1 Ti 0.0000 0.0000 0.0000
P1 P 0.0000 0.0000 0.5000
Br1 Br 0.0000 0.0000 0.2033
Br2 Br 0.2478 0.2478 0.5000
```